[1]
Computed powder diffraction line list
Compound: LiMnP3HO10
Radiation: CuKα
Structure: a PBE+U-relaxed structure
Neutral-atom scattering factors, no anomalous dispersion.

Top 10 peaks for 2θ = 10–90°, low angle first:
d (Å)  two_theta  Rel. int.  h k l
7.031  12.6  100  1 0 0
5.756  15.4  19  1 0 -2
4.670  19.0  43  0 0 2
4.260  20.9  38  2 0 -2
4.025  22.1  42  1 1 0
3.735  23.8  24  1 1 -2
3.220  27.7  57  2 1 -2
2.858  31.3  29  2 1 0
2.754  32.5  30  1 0 -4
2.485  36.1  21  3 1 -2

Unit cell a=8.703 b=4.909 c=11.560 alpha=90.00 beta=126.11 gamma=90.00
Space group P2/c (No. 13)
Inequivalent atoms, fractional coordinates:
Li (0.000, 0.060, 0.250)
Mn (0.500, 0.000, 0.000)
P (0.225, 0.499, 0.462)
P (0.500, 0.268, 0.750)
H (0.000, 0.500, 0.000)
O (0.028, 0.401, 0.414)
O (0.227, 0.204, 0.928)
O (0.317, 0.309, 0.413)
O (0.349, 0.477, 0.636)
O (0.418, 0.095, 0.810)


[2]
Computed powder diffraction line list
Compound: Li9Mn2Co5O16
Radiation: CuKα
Structure: a PBE+U-relaxed structure
Neutral-atom scattering factors, no anomalous dispersion.

Top 10 peaks for 2θ = 10–90°, low angle first:
d (Å)  two_theta  Rel. int.  h k l
4.834  18.4  100  1 0 -1
2.526  35.5  15  0 2 1
2.471  36.4  25  0 2 -3
2.379  37.8  7  0 0 4
2.107  42.9  29  -1 2 2
2.057  44.0  53  1 2 -4
1.906  47.7  9  2 -2 1
1.475  63.0  15  2 0 -6
1.468  63.4  22  0 4 -2
1.441  64.7  7  1 -2 6

Unit cell a=5.101 b=5.873 c=10.070 alpha=105.51 beta=100.72 gamma=90.37
Space group P-1 (No. 2)
Inequivalent atoms, fractional coordinates:
Li (0.000, 0.000, 0.000)
Li (0.000, 0.000, 0.500)
Li (0.000, 0.500, 0.000)
Li (0.245, 0.375, 0.252)
Li (0.252, 0.881, 0.254)
Li (0.492, 0.242, 0.499)
Mn (0.247, 0.371, 0.745)
Co (0.000, 0.500, 0.500)
Co (0.228, 0.875, 0.739)
Co (0.500, 0.248, 0.002)
O (0.095, 0.670, 0.378)
O (0.109, 0.181, 0.366)
O (0.140, 0.195, 0.866)
O (0.143, 0.669, 0.868)
O (0.355, 0.557, 0.627)
O (0.370, 0.084, 0.637)
O (0.395, 0.067, 0.120)
O (0.405, 0.568, 0.126)